Li2SbSO4F3: theoretical powder XRD pattern (Cu Kα (weighted mean of Kα1 and Kα2)), based on a structure optimized by DFT (PBE).

Main lines, low angle first (2θ = 10–90°):
Position (°2θ), intensity, hkl
13.47, 97, 0 0 2
16.29, 56, 0 1 2
20.59, 76, 1 1 0
21.68, 100, 1 1 1
22.80, 95, 0 2 2
24.68, 70, 1 1 2

Crystal structure
Cell lengths 4.8173, 9.6897, 13.1510 Å; angles 90.00, 90.00, 90.00 degrees
Fractional positions:
Li 0.0814 0.2420 0.0946
Li 0.1805 0.5094 0.7234
Li 0.3195 0.4906 0.2234
Li 0.4186 0.7580 0.5946
Li 0.5814 0.2580 0.9054
Li 0.6805 0.9906 0.2766
Li 0.8195 0.0094 0.7766
Li 0.9186 0.7420 0.4054
Sb 0.1213 0.5316 0.9763
Sb 0.3787 0.4684 0.4763
Sb 0.6213 0.9684 0.0237
Sb 0.8787 0.0316 0.5237
S 0.1582 0.8171 0.1741
S 0.3418 0.1829 0.6741
S 0.6582 0.6829 0.8259
S 0.8418 0.3171 0.3259
O 0.0087 0.8383 0.0744
O 0.0309 0.3363 0.2387
O 0.1162 0.0733 0.6804
O 0.2149 0.3205 0.6714
O 0.2851 0.6795 0.1714
O 0.3838 0.9267 0.1804
O 0.4691 0.6637 0.7387
O 0.4913 0.1617 0.5744
O 0.5087 0.6617 0.9256
O 0.5309 0.1637 0.7613
O 0.6162 0.4267 0.3196
O 0.7149 0.1795 0.3286
O 0.7851 0.8205 0.8286
O 0.8838 0.5733 0.8196
O 0.9691 0.8363 0.2613
O 0.9913 0.3383 0.4256
F 0.1268 0.8566 0.5118
F 0.1554 0.5809 0.5812
F 0.1873 0.5894 0.3749
F 0.3127 0.4106 0.8749
F 0.3446 0.4191 0.0812
F 0.3732 0.1434 0.0118
F 0.6268 0.6434 0.4882
F 0.6554 0.9191 0.4188
F 0.6873 0.9106 0.6251
F 0.8127 0.0894 0.1251
F 0.8446 0.0809 0.9188
F 0.8732 0.3566 0.9882